1.
Diffraction record for LiSiPd4. The X-ray powder pattern is simulated, not measured: it uses a structure optimized by DFT (GGA-PBE) and Cu Kα.
Peak positions follow from Bragg's law for the DFT cell and can differ from measured ones.

Principal peaks in the range 2θ from 15° to 90°, by intensity:
2θ (°)  I_rel  (hkl)
39.7  100.0  1 1 4
43.4  39.5  0 0 8
40.1  35.5  2 1 0
24.8  32.1  1 0 4
38.8  26.6  3 0 1
40.0  23.8  1 0 7
41.0  22.4  0 1 5
37.2  20.8  2 0 5
25.3  18.1  2 0 0
44.3  16.6  3 0 4

Structural model:
a b c (Å): 7.036 2.928 16.670
angles (deg): 90.00 90.00 90.00
Space group Pnma (No. 62)
Unique sites:
Li 0.215 0.250 0.187
Si 0.250 0.250 0.954
Pd 0.017 0.750 0.283
Pd 0.028 0.750 0.573
Pd 0.111 0.750 0.058
Pd 0.163 0.750 0.843

2.
Diffraction record for K2H6PdPt. The X-ray powder pattern is simulated, not measured: it uses a structure optimized by DFT (GGA-PBE) and Cu Kα.
Peak positions follow from Bragg's law for the DFT cell and can differ from measured ones.

Principal peaks in the range 2θ from 15° to 90°, by intensity:
2θ (°)  I_rel  (hkl)
18.2  100.0  1 0 0
31.8  53.6  1 1 0
38.2  51.7  0 1 2
61.0  26.4  1 2 2
50.5  23.5  2 0 2
24.6  16.8  0 1 1
36.9  16.3  2 0 0
49.5  14.7  2 1 0
46.7  12.9  1 1 2
79.4  12.2  3 1 2

Structural model:
a b c (Å): 5.6209 5.6209 5.3933
angles (deg): 90.00 90.00 120.00
Space group P-3m1 (No. 164)
Unique sites:
K 0.3333 0.6667 0.2474
H 0.1342 0.2684 0.7990
Pd 0.0000 0.0000 0.5000
Pt 0.0000 0.0000 0.0000

3.
Diffraction record for Hf3Ga3Os. The X-ray powder pattern is simulated, not measured: it uses a structure optimized by DFT (GGA-PBE) and Cu Kα.
Peak positions follow from Bragg's law for the DFT cell and can differ from measured ones.

Principal peaks in the range 2θ from 15° to 90°, by intensity:
2θ (°)  I_rel  (hkl)
36.0  100.0  1 3 0
37.3  92.9  1 1 4
32.0  34.5  0 2 4
32.7  34.4  1 1 3
44.8  27.7  0 4 4
49.6  27.7  2 0 0
41.5  24.3  1 3 3
69.0  15.2  2 4 4
40.9  14.2  0 4 3
40.3  13.5  0 0 6

Structural model:
a b c (Å): 3.679 10.160 13.421
angles (deg): 90.00 90.00 90.00
Space group Cmcm (No. 63)
Unique sites:
Hf 0.000 0.015 0.250
Hf 0.000 0.320 0.094
Ga 0.000 0.250 0.750
Ga 0.000 0.401 0.606
Os 0.000 0.000 0.000